1.
For Si2Ge5N6, a PBE-relaxed structure gives the calculated PXRD pattern in this record (Cu Kα (λ = 1.5418 Å)).
Neutral-atom scattering factors, no anomalous dispersion.

Largest 8 diffraction maxima, sorted by position, 2θ from 10° to 90°:
- 18.42°, d = 4.817 Å, intensity 95
- 23.54°, d = 3.779 Å, intensity 63
- 29.85°, d = 2.994 Å, intensity 60
- 31.86°, d = 2.809 Å, intensity 100
- 33.80°, d = 2.652 Å, intensity 62
- 35.27°, d = 2.545 Å, intensity 47
- 37.32°, d = 2.410 Å, intensity 56
- 43.17°, d = 2.096 Å, intensity 50

Atomic structure:
```
26
Lattice="4.8582 -2.8542 0.0000 4.8582 2.8542 0.0000 -1.8839 0.0000 14.3544" Properties=species:S:1:pos:R:3 pbc="T T T"
Si 1.3129 0.9676 6.0475
Si 0.3710 -0.9676 13.2247
Si 7.4615 0.9676 1.1297
Si 6.5196 -0.9676 8.3069
Ge 3.4453 2.6677 10.7658
Ge 2.0719 1.5320 13.8123
Ge 4.8187 1.5320 7.7193
Ge 4.1729 0.3931 4.9202
Ge 4.6016 0.3931 2.2570
Ge 3.2309 -0.3931 12.0974
Ge 3.6596 -0.3931 9.4343
Ge 3.0138 -1.5320 6.6351
Ge 5.7606 -1.5320 0.5421
Ge 4.3872 -2.6677 3.5886
N 0.9372 0.3907 7.6919
N 3.1587 1.5363 9.1725
N 1.8791 -0.3907 0.5147
N 3.7318 1.5363 12.3591
N 1.4199 0.1672 12.4568
N 2.3618 -0.1672 5.2796
N 5.4707 0.1672 9.0749
N 6.4126 -0.1672 1.8977
N 4.1007 -1.5363 1.9953
N 5.9534 0.3907 13.8398
N 4.6737 -1.5363 5.1819
N 6.8953 -0.3907 6.6625
```

=====

2.
For Sc3Co, a PBE-relaxed structure gives the calculated PXRD pattern in this record (Cu Kα (λ = 1.5418 Å)).
Neutral-atom scattering factors, no anomalous dispersion.

Largest 8 diffraction maxima, sorted by position, 2θ from 10° to 90°:
- 34.58°, d = 2.594 Å, intensity 61
- 34.93°, d = 2.569 Å, intensity 61
- 35.39°, d = 2.536 Å, intensity 76
- 35.62°, d = 2.520 Å, intensity 56
- 38.00°, d = 2.368 Å, intensity 100
- 38.73°, d = 2.325 Å, intensity 57
- 39.34°, d = 2.290 Å, intensity 57
- 42.04°, d = 2.149 Å, intensity 89

Atomic structure:
```
32
Lattice="13.0168 0.0000 0.0000 0.0000 8.5906 0.0000 0.0000 0.0000 5.8142" Properties=species:S:1:pos:R:3 pbc="T T T"
Sc 0.4611 0.5524 1.4239
Sc 0.4611 3.7429 1.4239
Sc 1.4196 2.1477 4.1486
Sc 1.9006 6.4430 2.6302
Sc 2.7676 4.8736 5.2766
Sc 2.7676 8.0124 5.2766
Sc 3.7408 0.5783 2.3694
Sc 3.7408 3.7171 2.3694
Sc 4.6078 2.1477 5.5373
Sc 5.0888 6.4430 1.2415
Sc 6.0472 4.8478 4.3310
Sc 6.0472 8.0382 4.3310
Sc 6.9695 0.5524 1.4832
Sc 6.9695 3.7429 1.4832
Sc 7.9279 2.1477 4.5727
Sc 8.4089 6.4430 0.2769
Sc 9.2760 4.8736 3.4448
Sc 9.2760 8.0124 3.4448
Sc 10.2491 0.5783 0.5377
Sc 10.2491 3.7171 0.5377
Sc 11.1162 2.1477 3.1840
Sc 11.5972 6.4430 1.6656
Sc 12.5556 4.8478 4.3903
Sc 12.5556 8.0382 4.3903
Co 0.7747 6.4430 0.3132
Co 2.3409 2.1477 0.7407
Co 4.1675 6.4430 3.6478
Co 5.7337 2.1477 3.2203
Co 7.2831 6.4430 2.5939
Co 8.8492 2.1477 2.1664
Co 10.6759 6.4430 5.0735
Co 12.2421 2.1477 5.5011
```